# ScHgPbI6
Computed XRD peak list, Cu Kα. Input: a crystal structure in Alexandria, relaxed with GGA-PBE.

Cell and atoms:
```
data_ScHgPbI6
_chemical_formula_sum 'Sc2 Hg2 Pb2 I12'
_symmetry_space_group_name_H-M 'C 1 2 1'
_symmetry_Int_Tables_number 5
_cell_length_a 7.858
_cell_length_b 13.576
_cell_length_c 7.194
_cell_angle_alpha 90.00
_cell_angle_beta 90.71
_cell_angle_gamma 90.00
loop_
_symmetry_equiv_pos_as_xyz
'x,y,z'
'-x,y,-z'
'x+1/2,y+1/2,z'
'-x+1/2,y+1/2,-z'
loop_
_atom_site_label
_atom_site_type_symbol
_atom_site_fract_x
_atom_site_fract_y
_atom_site_fract_z
Sc1 Sc 0.000 0.000 0.000
Hg1 Hg 0.000 0.334 0.500
Pb1 Pb 0.000 0.668 0.000
I1 I 0.145 0.849 0.761
I2 I 0.151 0.150 0.762
I3 I 0.197 0.503 0.761
```

Main lines, in order of rising 2θ (2θ from 10° to 80°):
17.85°, I 51, hkl 1 1 -1; 18.01°, I 100, hkl 1 1 1; 25.81°, I 72, hkl 1 3 -1; 25.96°, I 99, hkl 2 0 1; 33.71°, I 71, hkl 1 3 -2; 33.96°, I 78, hkl 2 0 2; 39.76°, I 75, hkl 3 3 0; 39.85°, I 40, hkl 0 6 0